For YRhAu2, a crystal structure in Alexandria, relaxed with PBE gives the calculated X-ray powder pattern in this record (a wavelength of 1.5418 Å).
Neutral-atom scattering factors, no anomalous dispersion.

Top 12 peaks for 2θ from 10° to 90°, most intense first:
2θ = 37.1°, rel. 1000, (1 1 2)
2θ = 44.7°, rel. 295, (2 0 0)
2θ = 77.4°, rel. 238, (3 1 2)
2θ = 61.3°, rel. 231, (2 0 4)
2θ = 39.6°, rel. 208, (0 0 4)
2θ = 70.2°, rel. 155, (1 1 6)
2θ = 19.5°, rel. 128, (0 0 2)
2θ = 79.0°, rel. 113, (2 2 4)
2θ = 65.1°, rel. 96, (2 2 0)
2θ = 31.2°, rel. 88, (1 1 0)
2θ = 49.2°, rel. 54, (2 0 2)
2θ = 51.3°, rel. 48, (1 1 4)

Atomic structure:
a b c (Å): 4.0531 4.0531 9.0984
angles (deg): 90.00 90.00 90.00
Fractional coordinates of all 8 atoms:
Y1 0.0000 0.0000 0.0000
Y2 0.5000 0.5000 0.5000
Rh1 0.0000 0.0000 0.5000
Rh2 0.5000 0.5000 0.0000
Au1 0.0000 0.5000 0.2500
Au2 0.0000 0.5000 0.7500
Au3 0.5000 0.0000 0.2500
Au4 0.5000 0.0000 0.7500